Record 1
For CaTcNi2W, DFT lattice parameters and positions (PBE) gives the computed XRD peak list in this record (CuKα).
No peak broadening, texture or thermal motion is included.

Top 8 peaks for 2θ from 10° to 90°, sorted by position:
18.93°, I 100.0; 26.90°, I 28.2; 33.23°, I 56.3; 38.41°, I 60.8; 38.86°, I 29.4; 43.16°, I 24.6; 43.57°, I 24.0; 55.79°, I 39.9

Structure:
```
CaTcNi2W
1.0
4.687 0.000 0.000
0.000 4.687 0.000
0.000 0.000 4.635
Ca Tc Ni W
1 1 2 1
direct
0.000 0.000 0.000
0.500 0.500 0.500
0.000 0.500 0.500
0.500 0.000 0.500
0.500 0.500 0.000
```



Record 2
For CoPd2Se2, DFT lattice parameters and positions (PBE) gives the computed XRD peak list in this record (CuKα).
No peak broadening, texture or thermal motion is included.

Top 8 peaks for 2θ from 10° to 90°, sorted by position:
29.22°, I 15.4; 33.70°, I 37.8; 35.70°, I 100.0; 39.72°, I 27.0; 43.29°, I 42.9; 49.89°, I 49.8; 51.89°, I 36.6; 75.59°, I 14.7

Structure:
```
CoPd2Se2
1.0
-3.017 5.318 2.517
3.017 -5.318 2.517
3.017 5.318 -2.517
Co Pd Se
2 4 4
direct
0.250 0.250 0.000
0.750 0.750 0.000
0.113 0.625 0.737
0.387 0.125 0.512
0.613 0.875 0.488
0.887 0.375 0.263
0.142 0.210 0.351
0.358 0.710 0.068
0.642 0.290 0.932
0.858 0.790 0.649
```



Record 3
For Ag2HF3, DFT lattice parameters and positions (PBE) gives the computed XRD peak list in this record (CuKα).
No peak broadening, texture or thermal motion is included.

Top 8 peaks for 2θ from 10° to 90°, sorted by position:
20.66°, I 44.4; 23.33°, I 44.0; 25.58°, I 54.5; 29.18°, I 38.4; 30.49°, I 100.0; 35.10°, I 98.3; 36.52°, I 70.6; 47.33°, I 31.6

Structure:
```
Ag2HF3
1.0
4.615 0.000 0.000
1.432 5.114 0.000
1.915 0.049 6.965
Ag H F
4 2 6
direct
0.045 0.222 0.086
0.250 0.249 0.499
0.750 0.751 0.501
0.955 0.778 0.914
0.390 0.719 0.195
0.610 0.281 0.805
0.207 0.760 0.607
0.222 0.602 0.197
0.439 0.146 0.811
0.561 0.854 0.189
0.778 0.398 0.803
0.793 0.240 0.393
```